(1)
Diffraction record for Cs2ReTe3. The powder XRD pattern is calculated, not measured: it uses the GGA-PBE geometry in OQMD and copper Kα.
Lines closer than 0.1° are merged.

Structural model:
```
12
Lattice="7.8115 -3.9507 0.0000 7.8115 3.9507 0.0000 -6.8436 0.0000 9.0396" Properties=species:S:1:pos:R:3 pbc="T T T"
Cs -1.1700 0.0000 3.3645
Cs 3.4148 0.0000 1.6751
Cs 5.3646 0.0000 7.3645
Cs 9.9493 0.0000 5.6751
Re 0.4840 0.0000 7.7267
Re 8.2954 0.0000 1.3129
Te -2.0234 0.0000 7.1363
Te 7.8115 2.1791 0.0000
Te 1.9745 0.0000 5.6314
Te 6.8049 0.0000 3.4082
Te 7.8115 -2.1791 0.0000
Te 10.8028 0.0000 1.9033
```

Principal peaks in the range 2θ = 5–70°, in order of rising 2θ:
11.39°, I = 59; 13.71°, I = 54; 22.51°, I = 95; 23.81°, I = 91; 23.96°, I = 100; 31.44°, I = 38; 37.13°, I = 43; 52.43°, I = 40

---

(2)
Diffraction record for CsSmSiS4. The powder XRD pattern is calculated, not measured: it uses the GGA-PBE geometry in OQMD and copper Kα.
Lines closer than 0.1° are merged.

Structural model:
```
28
Lattice="6.4527 0.0000 0.0000 0.0000 6.7660 0.0000 0.0000 0.0000 17.9382" Properties=species:S:1:pos:R:3 pbc="T T T"
Cs 0.0079 0.0494 8.3756
Cs 3.2185 6.7166 17.3447
Cs 3.2342 3.3336 9.5627
Cs 6.4449 3.4324 0.5935
Sm 1.3400 0.1385 13.0692
Sm 1.8864 6.6275 4.1001
Sm 4.5663 3.2445 4.8690
Sm 5.1128 3.5214 13.8382
Si 1.3568 3.4900 5.9780
Si 1.8695 3.2760 14.9471
Si 4.5832 6.6590 11.9603
Si 5.0959 0.1070 2.9911
S 0.3285 0.0806 1.7204
S 0.4495 1.7178 15.3348
S 0.6922 5.0584 15.1726
S 0.7427 3.8507 3.9677
S 2.4836 2.9152 12.9368
S 2.5342 1.7076 6.2035
S 2.7769 5.0482 6.3657
S 2.8978 6.6854 10.6895
S 3.5549 3.3024 16.2178
S 3.6758 1.6652 2.6034
S 3.9185 5.0906 2.7656
S 3.9691 6.2982 13.9705
S 5.7100 0.4677 5.0014
S 5.7606 1.6754 11.7347
S 6.0033 5.1008 11.5725
S 6.1242 3.4636 7.2487
```

Principal peaks in the range 2θ = 5–70°, in order of rising 2θ:
9.86°, I = 69; 19.64°, I = 98; 21.45°, I = 65; 23.80°, I = 63; 26.34°, I = 86; 29.42°, I = 99; 33.17°, I = 66; 39.90°, I = 100

---

(3)
Diffraction record for CsTbSiS4. The powder XRD pattern is calculated, not measured: it uses the GGA-PBE geometry in OQMD and copper Kα.
Lines closer than 0.1° are merged.

Structural model:
```
28
Lattice="6.3882 0.0000 0.0000 0.0000 6.7177 0.0000 0.0000 0.0000 17.8631" Properties=species:S:1:pos:R:3 pbc="T T T"
Cs 0.0019 0.0491 0.5769
Cs 6.3862 3.4080 8.3547
Cs 3.1960 3.3098 17.2862
Cs 3.1922 6.6687 9.5084
Tb 1.3273 3.4998 13.0155
Tb 1.8668 3.2180 4.0839
Tb 4.5214 6.5768 4.8476
Tb 5.0609 0.1409 13.7791
Si 1.3379 0.1161 5.9307
Si 1.8562 6.6016 14.8622
Si 4.5320 3.2427 11.9324
Si 5.0503 3.4750 3.0008
S 0.3445 3.4416 1.7271
S 0.4270 5.0516 15.2388
S 0.6720 1.6625 15.0730
S 0.6932 0.5034 3.9383
S 2.5009 6.2144 12.8699
S 2.5220 5.0552 6.1415
S 2.7670 1.6661 6.3073
S 2.8496 3.2761 10.6587
S 3.5386 6.6350 16.1359
S 3.6211 5.0250 2.6243
S 3.8661 1.6963 2.7900
S 3.8873 2.8555 13.9247
S 5.6950 3.8622 4.9932
S 5.7161 5.0214 11.7216
S 5.9611 1.6927 11.5558
S 6.0437 0.0827 7.2044
```

Principal peaks in the range 2θ = 5–70°, in order of rising 2θ:
9.90°, I = 58; 19.83°, I = 100; 21.62°, I = 52; 23.93°, I = 44; 26.54°, I = 60; 29.70°, I = 68; 33.38°, I = 47; 40.25°, I = 71